# Hg4BiS2Cl5
Calculated powder X-ray diffraction pattern, Cu Kα X-rays. Input: a structure optimized by DFT (PBE).
Lines closer than 0.1° are merged.

Peak list (12 most intense, 15° ≤ 2θ ≤ 90°, in order of falling intensity)
| 2θ/deg | I_rel | (hkl) |
| --- | --- | --- |
| 20.68 | 100.0 | 1 2 -1 |
| 33.60 | 40.1 | 0 4 0 |
| 35.74 | 33.9 | 2 2 -3 |
| 21.44 | 26.6 | 2 0 -1 |
| 33.88 | 23.8 | 2 2 1 |
| 25.03 | 23.3 | 1 2 1 |
| 20.32 | 22.2 | 1 2 0 |
| 56.19 | 18.9 | 4 4 -2 |
| 19.80 | 18.6 | 1 0 -2 |
| 43.64 | 17.8 | 4 0 -2 |
| 23.29 | 17.7 | 2 0 0 |
| 53.25 | 16.9 | 1 4 -4 |

Atomic structure:
Lattice parameters (Å, degrees): 8.314 10.670 9.090 90.00 113.28 90.00
Space group P2_1 (No. 4)
Unique sites:
Hg 0.003 0.000 0.013 (multiplicity 2)
Hg 0.304 0.250 0.019 (multiplicity 2)
Hg 0.426 0.499 0.329 (multiplicity 2)
Hg 0.447 0.017 0.358 (multiplicity 2)
Bi 0.000 0.253 0.508 (multiplicity 2)
S 0.300 0.478 0.029 (multiplicity 2)
S 0.306 0.024 0.058 (multiplicity 2)
Cl 0.013 0.002 0.432 (multiplicity 2)
Cl 0.091 0.294 0.261 (multiplicity 2)
Cl 0.091 0.723 0.232 (multiplicity 2)
Cl 0.344 0.755 0.686 (multiplicity 2)
Cl 0.347 0.247 0.712 (multiplicity 2)